No. 1
Starting from a structure optimized by DFT (GGA-PBE), the XRD peak list of ErTm3Al3 was computed for Cu Kα (λ = 1.5418 Å).

Top 10 peaks for 2θ = 5–70°, by angle:
two_theta	I_rel
24.95	80
25.99	37
35.51	27
35.65	26
36.34	100
44.53	17
51.20	19
64.31	19
64.48	18
65.87	18

Crystal structure
```
ErTm3Al3
1.0
5.037 -5.056 0.000
5.037 5.056 0.000
0.000 0.000 6.856
Er Tm Al
2 6 6
Cartesian
2.450 0.000 0.000
7.625 0.000 0.000
2.450 0.000 3.428
5.037 2.590 3.428
5.037 2.571 0.000
5.037 -2.571 0.000
5.037 -2.590 3.428
7.625 0.000 3.428
2.519 2.528 1.723
2.519 2.528 5.134
2.519 -2.528 1.723
2.519 -2.528 5.134
5.037 0.000 1.730
5.037 0.000 5.126
```

---

No. 2
Starting from a structure optimized by DFT (GGA-PBE), the XRD peak list of NaLa3Se4 was computed for Cu Kα (λ = 1.5418 Å).

Top 10 peaks for 2θ = 5–70°, by angle:
two_theta	I_rel
12.56	10
24.22	7
29.30	100
41.90	62
41.96	12
51.90	13
52.00	13
60.76	12
68.83	17
68.90	17

Crystal structure
```
NaLa3Se4
1.0
4.318 -6.096 0.000
4.318 6.096 0.000
0.000 0.000 4.306
Na La Se
1 3 4
Cartesian
0.000 0.000 0.000
2.159 3.048 2.153
2.159 -3.048 2.153
4.318 0.000 0.000
4.318 3.073 0.000
2.161 0.000 2.153
6.474 0.000 2.153
4.318 -3.073 0.000
```

---

No. 3
Starting from a structure optimized by DFT (GGA-PBE), the XRD peak list of Pm4SmH8 was computed for Cu Kα (λ = 1.5418 Å).

Top 10 peaks for 2θ = 5–70°, by angle:
two_theta	I_rel
15.16	23
21.50	21
26.41	71
30.59	100
34.31	12
37.70	10
43.81	79
51.89	33
54.38	27
63.69	13

Crystal structure
```
Pm4SmH8
1.0
5.844 0.000 0.000
0.000 5.844 0.000
0.000 0.000 5.844
Pm Sm H
4 1 8
Cartesian
0.000 0.000 0.000
0.000 2.922 2.922
2.922 0.000 2.922
2.922 2.922 0.000
2.922 2.922 2.922
1.528 1.528 1.528
1.528 1.528 4.317
1.528 4.317 1.528
1.528 4.317 4.317
4.317 1.528 1.528
4.317 1.528 4.317
4.317 4.317 1.528
4.317 4.317 4.317
```